The following is a computed XRD peak list of H2S. It was derived from a cell relaxed with GGA-PBE, using copper Kα.
Peak positions follow from Bragg's law for the DFT cell and can differ from measured ones.

Structural model:
Lattice parameters (Å, degrees): 4.591 4.591 4.591 90.00 90.00 90.00
Space group Fm-3m (No. 225)
Symmetry-distinct sites (fractional):
H 0.250 0.250 0.250 [8 per cell]
S 0.000 0.000 0.000 [4 per cell]

Peak list (6 most intense, 10° ≤ 2θ ≤ 90°, low angle first)
2θ (°)	I/Imax	h k l
33.82	100	1 1 1
39.25	40	2 0 0
56.72	32	2 2 0
67.69	33	3 1 1
71.15	9	2 2 2
84.40	5	4 0 0



The following is a computed XRD peak list of NaTl2Cd. It was derived from a cell relaxed with GGA-PBE, using copper Kα.
Peak positions follow from Bragg's law for the DFT cell and can differ from measured ones.

Structural model:
Lattice parameters (Å, degrees): 7.611 7.611 7.611 90.00 90.00 90.00
Space group Fm-3m (No. 225)
Symmetry-distinct sites (fractional):
Na 0.000 0.000 0.000 [4 per cell]
Tl 0.250 0.250 0.250 [8 per cell]
Cd 0.000 0.000 0.500 [4 per cell]

Peak list (10 most intense, 10° ≤ 2θ ≤ 90°, low angle first)
2θ (°)	I/Imax	h k l
20.21	7	1 1 1
23.38	28	2 0 0
33.30	100	2 2 0
41.08	9	2 2 2
47.80	18	4 0 0
53.87	13	4 2 0
59.50	38	4 2 2
69.92	12	4 4 0
74.86	6	6 0 0
79.68	16	6 2 0



The following is a computed XRD peak list of Mn20Mo3C6. It was derived from a cell relaxed with GGA-PBE, using copper Kα.
Peak positions follow from Bragg's law for the DFT cell and can differ from measured ones.

Structural model:
Lattice parameters (Å, degrees): 10.530 10.530 10.530 90.00 90.00 90.00
Space group Fm-3m (No. 225)
Symmetry-distinct sites (fractional):
Mn 0.000 0.170 0.170 [48 per cell]
Mn 0.116 0.116 0.384 [32 per cell]
Mo 0.000 0.000 0.000 [4 per cell]
Mo 0.250 0.250 0.250 [8 per cell]
C 0.000 0.000 0.273 [24 per cell]

Peak list (10 most intense, 10° ≤ 2θ ≤ 90°, low angle first)
2θ (°)	I/Imax	h k l
38.22	28	4 2 0
42.04	47	4 2 2
44.72	100	3 3 3
48.93	30	4 4 0
51.33	17	5 3 1
52.12	8	6 0 0
58.11	9	6 2 2
74.27	8	6 4 4
76.81	28	6 6 0
78.70	13	5 5 5



The following is a computed XRD peak list of La3NdCu2O8. It was derived from a cell relaxed with GGA-PBE, using copper Kα.
Peak positions follow from Bragg's law for the DFT cell and can differ from measured ones.

Structural model:
Lattice parameters (Å, degrees): 13.089 5.346 5.511 90.00 90.17 90.00
Space group Cm (No. 8)
Symmetry-distinct sites (fractional):
La 0.000 0.000 0.000 [2 per cell]
La 0.000 0.500 0.475 [2 per cell]
La 0.279 0.000 0.974 [2 per cell]
Nd 0.277 0.500 0.504 [2 per cell]
Cu 0.141 0.500 0.989 [2 per cell]
Cu 0.142 0.000 0.487 [2 per cell]
O 0.130 0.251 0.737 [4 per cell]
O 0.154 0.252 0.240 [4 per cell]
O 0.326 0.000 0.540 [2 per cell]
O 0.327 0.500 0.925 [2 per cell]
O 0.452 0.500 0.429 [2 per cell]
O 0.455 0.000 0.040 [2 per cell]

Peak list (10 most intense, 10° ≤ 2θ ≤ 90°, low angle first)
2θ (°)	I/Imax	h k l
24.17	21	1 1 -1
27.25	11	4 0 0
31.04	100	3 1 1
32.49	32	0 0 2
33.52	31	0 2 0
41.77	20	5 1 -1
43.73	12	4 2 0
47.38	31	0 2 2
54.59	14	7 1 1
58.39	17	3 3 1